[1]
This entry pairs a crystal structure of Sm5Tl2Sb2 with its calculated powder X-ray diffraction pattern. Radiation: λ = 1.5418 Å (Cu Kα). Structure: a PBE-relaxed structure.
Lines closer than 0.1° are merged.

Atomic structure:
```
data_Sm5Tl2Sb2
_chemical_formula_sum 'Sm10 Tl4 Sb4'
_cell_length_a 8.9552
_cell_length_b 8.9552
_cell_length_c 8.3255
_cell_angle_alpha 90.00
_cell_angle_beta 90.00
_cell_angle_gamma 55.32
_space_group_name_H-M_alt 'P 1'
_space_group_IT_number 1
_space_group_name_Hall 'P 1'
loop_
_atom_site_label
_atom_site_type_symbol
_atom_site_fract_x
_atom_site_fract_y
_atom_site_fract_z
_atom_site_occupancy
Sm1 Sm 0.0000 0.0000 0.0000 1
Sm2 Sm 0.0344 0.6943 0.6643 1
Sm3 Sm 0.1943 0.5344 0.1643 1
Sm4 Sm 0.3057 0.9656 0.6643 1
Sm5 Sm 0.4656 0.8057 0.1643 1
Sm6 Sm 0.5000 0.5000 0.5000 1
Sm7 Sm 0.5344 0.1943 0.8357 1
Sm8 Sm 0.6943 0.0344 0.3357 1
Sm9 Sm 0.8057 0.4656 0.8357 1
Sm10 Sm 0.9656 0.3057 0.3357 1
Tl1 Tl 0.2066 0.2066 0.0000 1
Tl2 Tl 0.2934 0.2934 0.5000 1
Tl3 Tl 0.7066 0.7066 0.5000 1
Tl4 Tl 0.7934 0.7934 0.0000 1
Sb1 Sb 0.1382 0.8618 0.3594 1
Sb2 Sb 0.3618 0.6382 0.8594 1
Sb3 Sb 0.6382 0.3618 0.1406 1
Sb4 Sb 0.8618 0.1382 0.6406 1
```

Main lines, sorted by position (2θ = 10–80°):
2θ (°)	I (rel.)
29.34	72
30.39	51
31.16	64
32.05	45
33.02	60
34.56	100
44.75	42
48.96	30
62.66	45
64.19	21

=====

[2]
This entry pairs a crystal structure of Sm5Tm2Sb4 with its calculated powder X-ray diffraction pattern. Radiation: λ = 1.5418 Å (Cu Kα). Structure: a PBE-relaxed structure.
Lines closer than 0.1° are merged.

Atomic structure:
```
data_Sm5Tm2Sb4
_chemical_formula_sum 'Sm5 Tm2 Sb4'
_cell_length_a 11.2014
_cell_length_b 11.2014
_cell_length_c 8.2596
_cell_angle_alpha 106.37
_cell_angle_beta 106.37
_cell_angle_gamma 21.93
_space_group_name_H-M_alt 'P 1'
_space_group_IT_number 1
_space_group_name_Hall 'P 1'
loop_
_atom_site_label
_atom_site_type_symbol
_atom_site_fract_x
_atom_site_fract_y
_atom_site_fract_z
_atom_site_occupancy
Sm1 Sm 0.0000 0.0000 0.0000 1
Sm2 Sm 0.3253 0.3253 0.0176 1
Sm3 Sm 0.4013 0.4013 0.5254 1
Sm4 Sm 0.5987 0.5987 0.4746 1
Sm5 Sm 0.6747 0.6747 0.9824 1
Tm1 Tm 0.2110 0.2110 0.3435 1
Tm2 Tm 0.7890 0.7890 0.6565 1
Sb1 Sb 0.1930 0.1930 0.7080 1
Sb2 Sb 0.4647 0.4647 0.2340 1
Sb3 Sb 0.5353 0.5353 0.7660 1
Sb4 Sb 0.8070 0.8070 0.2920 1
```

Main lines, sorted by position (2θ = 10–80°):
2θ (°)	I (rel.)
25.35	34
28.46	21
29.82	32
30.68	24
30.79	100
34.09	42
35.91	20
36.25	21
42.43	34
42.65	17

=====

[3]
This entry pairs a crystal structure of Sm2Tm2Sb3 with its calculated powder X-ray diffraction pattern. Radiation: λ = 1.5418 Å (Cu Kα). Structure: a PBE-relaxed structure.
Lines closer than 0.1° are merged.

Atomic structure:
```
data_Sm2Tm2Sb3
_chemical_formula_sum 'Sm2 Tm2 Sb3'
_cell_length_a 7.3861
_cell_length_b 7.3861
_cell_length_c 7.3700
_cell_angle_alpha 99.32
_cell_angle_beta 99.32
_cell_angle_gamma 34.77
_space_group_name_H-M_alt 'P 1'
_space_group_IT_number 1
_space_group_name_Hall 'P 1'
loop_
_atom_site_label
_atom_site_type_symbol
_atom_site_fract_x
_atom_site_fract_y
_atom_site_fract_z
_atom_site_occupancy
Sm1 Sm 0.1234 0.1234 0.3584 1
Sm2 Sm 0.8766 0.8766 0.6416 1
Tm1 Tm 0.3799 0.3799 0.1190 1
Tm2 Tm 0.6201 0.6201 0.8810 1
Sb1 Sb 0.2406 0.2406 0.7575 1
Sb2 Sb 0.5000 0.5000 0.5000 1
Sb3 Sb 0.7594 0.7594 0.2425 1
```

Main lines, sorted by position (2θ = 10–80°):
2θ (°)	I (rel.)
29.19	100
29.63	48
40.89	21
42.07	73
42.60	17
51.30	21
52.74	18
69.51	16
75.27	13
77.61	13

=====

[4]
This entry pairs a crystal structure of Sm4TmSb4 with its calculated powder X-ray diffraction pattern. Radiation: λ = 1.5418 Å (Cu Kα). Structure: a PBE-relaxed structure.
Lines closer than 0.1° are merged.

Atomic structure:
```
data_Sm4TmSb4
_chemical_formula_sum 'Sm4 Tm1 Sb4'
_cell_length_a 7.5122
_cell_length_b 7.5122
_cell_length_c 7.5122
_cell_angle_alpha 115.81
_cell_angle_beta 115.81
_cell_angle_gamma 97.42
_space_group_name_H-M_alt 'P 1'
_space_group_IT_number 1
_space_group_name_Hall 'P 1'
loop_
_atom_site_label
_atom_site_type_symbol
_atom_site_fract_x
_atom_site_fract_y
_atom_site_fract_z
_atom_site_occupancy
Sm1 Sm 0.0000 0.5000 0.5000 1
Sm2 Sm 0.1708 0.1708 0.0000 1
Sm3 Sm 0.5000 0.0000 0.5000 1
Sm4 Sm 0.8292 0.8292 0.0000 1
Tm1 Tm 0.5000 0.5000 0.0000 1
Sb1 Sb 0.1259 0.5916 0.0000 1
Sb2 Sb 0.4084 0.4084 0.5343 1
Sb3 Sb 0.5916 0.1259 0.0000 1
Sb4 Sb 0.8741 0.8741 0.4657 1
```

Main lines, sorted by position (2θ = 10–80°):
2θ (°)	I (rel.)
23.89	84
28.72	27
29.25	29
31.71	100
37.07	46
40.09	40
42.95	35
43.67	20
45.45	36
64.31	19

=====

[5]
This entry pairs a crystal structure of Sm2Tm5Sb4 with its calculated powder X-ray diffraction pattern. Radiation: λ = 1.5418 Å (Cu Kα). Structure: a PBE-relaxed structure.
Lines closer than 0.1° are merged.

Atomic structure:
```
data_Sm2Tm5Sb4
_chemical_formula_sum 'Sm2 Tm5 Sb4'
_cell_length_a 12.5047
_cell_length_b 12.5047
_cell_length_c 7.0290
_cell_angle_alpha 97.65
_cell_angle_beta 97.65
_cell_angle_gamma 19.35
_space_group_name_H-M_alt 'P 1'
_space_group_IT_number 1
_space_group_name_Hall 'P 1'
loop_
_atom_site_label
_atom_site_type_symbol
_atom_site_fract_x
_atom_site_fract_y
_atom_site_fract_z
_atom_site_occupancy
Sm1 Sm 0.2319 0.2319 0.2321 1
Sm2 Sm 0.7681 0.7681 0.7679 1
Tm1 Tm 0.0857 0.0857 0.2046 1
Tm2 Tm 0.1508 0.1508 0.7490 1
Tm3 Tm 0.5000 0.5000 0.5000 1
Tm4 Tm 0.8492 0.8492 0.2510 1
Tm5 Tm 0.9143 0.9143 0.7954 1
Sb1 Sb 0.0351 0.0351 0.7942 1
Sb2 Sb 0.3432 0.3432 0.5616 1
Sb3 Sb 0.6568 0.6568 0.4384 1
Sb4 Sb 0.9649 0.9649 0.2058 1
```

Main lines, sorted by position (2θ = 10–80°):
2θ (°)	I (rel.)
21.45	41
24.75	36
25.58	41
29.79	55
30.33	60
33.23	29
34.02	100
37.12	54
40.20	25
43.06	59

=====

[6]
This entry pairs a crystal structure of Sm3TmSb4 with its calculated powder X-ray diffraction pattern. Radiation: λ = 1.5418 Å (Cu Kα). Structure: a PBE-relaxed structure.
Lines closer than 0.1° are merged.

Atomic structure:
```
data_Sm3TmSb4
_chemical_formula_sum 'Sm3 Tm1 Sb4'
_cell_length_a 7.6868
_cell_length_b 7.6868
_cell_length_c 4.4415
_cell_angle_alpha 90.00
_cell_angle_beta 90.00
_cell_angle_gamma 109.49
_space_group_name_H-M_alt 'P 1'
_space_group_IT_number 1
_space_group_name_Hall 'P 1'
loop_
_atom_site_label
_atom_site_type_symbol
_atom_site_fract_x
_atom_site_fract_y
_atom_site_fract_z
_atom_site_occupancy
Sm1 Sm 0.0000 0.0000 0.0000 1
Sm2 Sm 0.0000 0.5000 0.5000 1
Sm3 Sm 0.5000 0.0000 0.5000 1
Tm1 Tm 0.5000 0.5000 0.0000 1
Sb1 Sb 0.2531 0.7469 0.0000 1
Sb2 Sb 0.2560 0.2560 0.5000 1
Sb3 Sb 0.7440 0.7440 0.5000 1
Sb4 Sb 0.7469 0.2531 0.0000 1
```

Main lines, sorted by position (2θ = 10–80°):
2θ (°)	I (rel.)
24.56	3
28.44	100
40.65	76
48.07	2
50.35	27
58.84	13
64.73	1
66.62	35
73.97	26
79.30	1

=====

[7]
This entry pairs a crystal structure of Sm5Tm2Sb5 with its calculated powder X-ray diffraction pattern. Radiation: λ = 1.5418 Å (Cu Kα). Structure: a PBE-relaxed structure.
Lines closer than 0.1° are merged.

Atomic structure:
```
data_Sm5Tm2Sb5
_chemical_formula_sum 'Sm5 Tm2 Sb5'
_cell_length_a 7.5690
_cell_length_b 7.5690
_cell_length_c 12.6822
_cell_angle_alpha 109.82
_cell_angle_beta 109.82
_cell_angle_gamma 33.85
_space_group_name_H-M_alt 'P 1'
_space_group_IT_number 1
_space_group_name_Hall 'P 1'
loop_
_atom_site_label
_atom_site_type_symbol
_atom_site_fract_x
_atom_site_fract_y
_atom_site_fract_z
_atom_site_occupancy
Sm1 Sm 0.0000 0.0000 0.0000 1
Sm2 Sm 0.1609 0.1609 0.5368 1
Sm3 Sm 0.2253 0.2253 0.8459 1
Sm4 Sm 0.7747 0.7747 0.1541 1
Sm5 Sm 0.8391 0.8391 0.4632 1
Tm1 Tm 0.4518 0.4518 0.7092 1
Tm2 Tm 0.5482 0.5482 0.2908 1
Sb1 Sb 0.1896 0.1896 0.2869 1
Sb2 Sb 0.3847 0.3847 0.0757 1
Sb3 Sb 0.5000 0.5000 0.5000 1
Sb4 Sb 0.6153 0.6153 0.9243 1
Sb5 Sb 0.8104 0.8104 0.7131 1
```

Main lines, sorted by position (2θ = 10–80°):
2θ (°)	I (rel.)
27.40	75
28.28	100
28.58	94
29.94	79
31.10	58
31.61	73
39.06	52
40.77	49
40.95	68
42.09	44

=====

[8]
This entry pairs a crystal structure of Sm2USb3 with its calculated powder X-ray diffraction pattern. Radiation: λ = 1.5418 Å (Cu Kα). Structure: a PBE-relaxed structure.
Lines closer than 0.1° are merged.

Atomic structure:
```
data_Sm2USb3
_chemical_formula_sum 'Sm2 U1 Sb3'
_cell_length_a 9.9093
_cell_length_b 9.9076
_cell_length_c 4.4423
_cell_angle_alpha 77.07
_cell_angle_beta 77.02
_cell_angle_gamma 25.91
_space_group_name_H-M_alt 'P 1'
_space_group_IT_number 1
_space_group_name_Hall 'P 1'
loop_
_atom_site_label
_atom_site_type_symbol
_atom_site_fract_x
_atom_site_fract_y
_atom_site_fract_z
_atom_site_occupancy
Sm1 Sm 0.1676 0.1676 0.8324 1
Sm2 Sm 0.8324 0.8324 0.1676 1
U1 U 0.5000 0.5000 0.5000 1
Sb1 Sb 0.0000 0.0000 0.0000 1
Sb2 Sb 0.3355 0.3355 0.6645 1
Sb3 Sb 0.6645 0.6645 0.3355 1
```

Main lines, sorted by position (2θ = 10–80°):
2θ (°)	I (rel.)
24.57	8
28.41	87
28.49	43
40.66	100
50.36	36
58.74	6
66.56	23
66.71	23
73.95	23
74.07	11

=====

[9]
This entry pairs a crystal structure of Sm3Y5Sb8 with its calculated powder X-ray diffraction pattern. Radiation: λ = 1.5418 Å (Cu Kα). Structure: a PBE-relaxed structure.
Lines closer than 0.1° are merged.

Atomic structure:
```
data_Sm3Y5Sb8
_chemical_formula_sum 'Sm3 Y5 Sb8'
_cell_length_a 8.8414
_cell_length_b 8.8414
_cell_length_c 8.8414
_cell_angle_alpha 60.04
_cell_angle_beta 60.04
_cell_angle_gamma 60.04
_space_group_name_H-M_alt 'P 1'
_space_group_IT_number 1
_space_group_name_Hall 'P 1'
loop_
_atom_site_label
_atom_site_type_symbol
_atom_site_fract_x
_atom_site_fract_y
_atom_site_fract_z
_atom_site_occupancy
Sm1 Sm 0.0000 0.5000 0.5000 1
Sm2 Sm 0.5000 0.0000 0.5000 1
Sm3 Sm 0.5000 0.5000 0.0000 1
Y1 Y 0.0000 0.0000 0.0000 1
Y2 Y 0.0000 0.0000 0.5000 1
Y3 Y 0.0000 0.5000 0.0000 1
Y4 Y 0.5000 0.0000 0.0000 1
Y5 Y 0.5000 0.5000 0.5000 1
Sb1 Sb 0.2466 0.7500 0.7500 1
Sb2 Sb 0.2483 0.2483 0.2483 1
Sb3 Sb 0.2500 0.2500 0.7534 1
Sb4 Sb 0.2500 0.7534 0.2500 1
Sb5 Sb 0.7500 0.2466 0.7500 1
Sb6 Sb 0.7500 0.7500 0.2466 1
Sb7 Sb 0.7517 0.7517 0.7517 1
Sb8 Sb 0.7534 0.2500 0.2500 1
```

Main lines, sorted by position (2θ = 10–80°):
2θ (°)	I (rel.)
12.26	2
23.59	2
28.55	100
31.17	1
40.81	75
50.56	27
56.52	1
59.09	12
66.91	34
74.30	25

=====

[10]
This entry pairs a crystal structure of Sm5Y5Sb6 with its calculated powder X-ray diffraction pattern. Radiation: λ = 1.5418 Å (Cu Kα). Structure: a PBE-relaxed structure.
Lines closer than 0.1° are merged.

Atomic structure:
```
data_Sm5Y5Sb6
_chemical_formula_sum 'Sm5 Y5 Sb6'
_cell_length_a 6.3741
_cell_length_b 9.1336
_cell_length_c 9.1336
_cell_angle_alpha 120.25
_cell_angle_beta 90.00
_cell_angle_gamma 90.00
_space_group_name_H-M_alt 'P 1'
_space_group_IT_number 1
_space_group_name_Hall 'P 1'
loop_
_atom_site_label
_atom_site_type_symbol
_atom_site_fract_x
_atom_site_fract_y
_atom_site_fract_z
_atom_site_occupancy
Sm1 Sm 0.0000 0.0000 0.0000 1
Sm2 Sm 0.2500 0.5806 0.9126 1
Sm3 Sm 0.2500 0.9126 0.5806 1
Sm4 Sm 0.7500 0.5806 0.9126 1
Sm5 Sm 0.7500 0.9126 0.5806 1
Y1 Y 0.0000 0.2456 0.4945 1
Y2 Y 0.0000 0.4945 0.2456 1
Y3 Y 0.5000 0.2466 0.9973 1
Y4 Y 0.5000 0.4918 0.4918 1
Y5 Y 0.5000 0.9973 0.2466 1
Sb1 Sb 0.0000 0.2485 0.8604 1
Sb2 Sb 0.0000 0.6288 0.6288 1
Sb3 Sb 0.0000 0.8604 0.2485 1
Sb4 Sb 0.5000 0.2463 0.6308 1
Sb5 Sb 0.5000 0.6308 0.2463 1
Sb6 Sb 0.5000 0.8618 0.8618 1
```

Main lines, sorted by position (2θ = 10–80°):
2θ (°)	I (rel.)
11.21	26
29.89	21
33.10	54
33.20	28
33.96	24
34.09	44
34.33	100
49.08	19
52.89	21
68.87	17

=====

[11]
This entry pairs a crystal structure of Sm4YSb5 with its calculated powder X-ray diffraction pattern. Radiation: λ = 1.5418 Å (Cu Kα). Structure: a PBE-relaxed structure.
Lines closer than 0.1° are merged.

Atomic structure:
```
data_Sm4YSb5
_chemical_formula_sum 'Sm4 Y1 Sb5'
_cell_length_a 16.0591
_cell_length_b 16.0591
_cell_length_c 16.0591
_cell_angle_alpha 164.05
_cell_angle_beta 164.05
_cell_angle_gamma 22.63
_space_group_name_H-M_alt 'P 1'
_space_group_IT_number 1
_space_group_name_Hall 'P 1'
loop_
_atom_site_label
_atom_site_type_symbol
_atom_site_fract_x
_atom_site_fract_y
_atom_site_fract_z
_atom_site_occupancy
Sm1 Sm 0.0997 0.0997 0.0000 1
Sm2 Sm 0.3004 0.3004 0.0000 1
Sm3 Sm 0.6996 0.6996 0.0000 1
Sm4 Sm 0.9003 0.9003 0.0000 1
Y1 Y 0.5000 0.5000 0.0000 1
Sb1 Sb 0.0000 0.0000 0.0000 1
Sb2 Sb 0.2000 0.2000 0.0000 1
Sb3 Sb 0.4010 0.4010 0.0000 1
Sb4 Sb 0.5990 0.5990 0.0000 1
Sb5 Sb 0.8000 0.8000 0.0000 1
```

Main lines, sorted by position (2θ = 10–80°):
2θ (°)	I (rel.)
20.12	1
24.47	1
28.33	100
40.49	76
50.15	27
58.60	13
66.33	23
66.36	12
73.65	26

=====

[12]
This entry pairs a crystal structure of Sm5ZrSb4 with its calculated powder X-ray diffraction pattern. Radiation: λ = 1.5418 Å (Cu Kα). Structure: a PBE-relaxed structure.
Lines closer than 0.1° are merged.

Atomic structure:
```
data_Sm5ZrSb4
_chemical_formula_sum 'Sm5 Zr1 Sb4'
_cell_length_a 9.6022
_cell_length_b 9.6022
_cell_length_c 8.4310
_cell_angle_alpha 104.56
_cell_angle_beta 104.56
_cell_angle_gamma 25.79
_space_group_name_H-M_alt 'P 1'
_space_group_IT_number 1
_space_group_name_Hall 'P 1'
loop_
_atom_site_label
_atom_site_type_symbol
_atom_site_fract_x
_atom_site_fract_y
_atom_site_fract_z
_atom_site_occupancy
Sm1 Sm 0.0000 0.0000 0.0000 1
Sm2 Sm 0.3259 0.3259 0.1474 1
Sm3 Sm 0.3332 0.3332 0.6785 1
Sm4 Sm 0.6668 0.6668 0.3215 1
Sm5 Sm 0.6741 0.6741 0.8526 1
Zr1 Zr 0.0000 0.0000 0.5000 1
Sb1 Sb 0.1633 0.1633 0.5835 1
Sb2 Sb 0.4957 0.4957 0.2580 1
Sb3 Sb 0.5043 0.5043 0.7420 1
Sb4 Sb 0.8367 0.8367 0.4165 1
```

Main lines, sorted by position (2θ = 10–80°):
2θ (°)	I (rel.)
25.50	11
26.21	12
29.64	50
29.74	100
41.94	39
42.18	20
42.99	52
52.39	20
61.76	12
70.58	14